For LiPPb, the GGA-PBE geometry in Alexandria gives the theoretical powder XRD pattern in this record (CuKα).
No peak broadening, texture or thermal motion is included.

Principal peaks in the range 2θ from 10° to 80°, low angle first:
| hkl | two_theta | I_rel |
| --- | --- | --- |
| 0 0 3 | 22.3 | 24 |
| 1 0 0 | 24.0 | 76 |
| 1 0 3 | 33.0 | 100 |
| 1 1 0 | 42.2 | 30 |
| 1 1 3 | 48.3 | 21 |
| 2 0 0 | 49.2 | 12 |
| 1 0 6 | 52.1 | 20 |
| 2 0 3 | 54.6 | 24 |
| 1 1 6 | 63.8 | 18 |
| 2 1 0 | 66.8 | 10 |
| 2 1 3 | 71.4 | 22 |
| 1 0 9 | 76.1 | 9 |

Atomic structure:
Unit cell a=4.2807 b=4.2807 c=11.9555 alpha=90.00 beta=90.00 gamma=120.00
Sites, in units of the cell vectors:
Li 0.0000 0.0000 0.0000
Li 0.3333 0.6667 0.3260
Li 0.3333 0.6667 0.6740
P 0.0000 0.0000 0.3310
P 0.0000 0.0000 0.6690
P 0.3333 0.6667 0.0000
Pb 0.6667 0.3333 0.1659
Pb 0.6667 0.3333 0.5000
Pb 0.6667 0.3333 0.8341